Record 1
Theoretical powder XRD pattern of Dy3Y2Er8 for Cu Kα (weighted mean of Kα1 and Kα2), from a cell relaxed with GGA-PBE.
Lines closer than 0.1° are merged.

Largest 6 diffraction maxima, in order of rising 2θ, 2θ = 10–80°:
| Position (°2θ) | I (rel.) | h k l |
| --- | --- | --- |
| 24.1 | 34 | 0 0 6 |
| 31.3 | 100 | 1 2 1 |
| 32.0 | 42 | 1 1 6 |
| 32.2 | 49 | 2 0 0 |
| 32.6 | 42 | 1 0 7 |
| 40.7 | 18 | 2 0 6 |

Structure:
```
data_Dy3Y2Er8
_chemical_formula_sum 'Dy6 Y4 Er16'
_cell_length_a 5.5516
_cell_length_b 6.7574
_cell_length_c 22.1407
_cell_angle_alpha 90.00
_cell_angle_beta 90.00
_cell_angle_gamma 90.00
_symmetry_space_group_name_H-M 'I m m m'
_symmetry_Int_Tables_number 71
_symmetry_space_group_name_Hall '-I 2 2'
loop_
_atom_site_label
_atom_site_fract_x
_atom_site_fract_y
_atom_site_fract_z
_atom_site_occupancy
Dy1 0.0000 0.0000 0.0000 1
Dy2 0.0000 0.2353 0.5000 1
Y1 0.0000 0.5000 0.2231 1
Er1 0.0000 0.0000 0.1829 1
Er2 0.0000 0.2387 0.3483 1
Er3 0.0000 0.5000 0.0747 1
```

Record 2
Theoretical powder XRD pattern of IrSe for Cu Kα (weighted mean of Kα1 and Kα2), from a cell relaxed with GGA-PBE.
Lines closer than 0.1° are merged.

Largest 6 diffraction maxima, in order of rising 2θ, 2θ = 10–80°:
| Position (°2θ) | I (rel.) | h k l |
| --- | --- | --- |
| 19.2 | 63 | 1 0 1 |
| 32.3 | 88 | 2 1 1 |
| 37.3 | 64 | 3 1 1 |
| 39.0 | 66 | 2 0 2 |
| 48.9 | 79 | 3 1 2 |
| 50.5 | 100 | 2 2 1 |

Structure:
```
data_IrSe
_chemical_formula_sum 'Ir6 Se6'
_cell_length_a 10.9272
_cell_length_b 4.1400
_cell_length_c 5.0894
_cell_angle_alpha 90.00
_cell_angle_beta 90.00
_cell_angle_gamma 90.00
_symmetry_space_group_name_H-M 'P m n 21'
_symmetry_Int_Tables_number 31
loop_
_symmetry_equiv_pos_as_xyz
'x,y,z'
'-x+1/2,-y,z+1/2'
'-x,y,z'
'x+1/2,-y,z+1/2'
loop_
_atom_site_label
_atom_site_fract_x
_atom_site_fract_y
_atom_site_fract_z
_atom_site_occupancy
Ir1 0.0000 0.1946 0.0000 1
Ir2 0.2020 0.3947 0.7180 1
Se1 0.0000 0.6887 0.7619 1
Se2 0.1724 0.1190 0.2943 1
```

Record 3
Theoretical powder XRD pattern of TlHg8H6 for Cu Kα (weighted mean of Kα1 and Kα2), from a cell relaxed with GGA-PBE.
Lines closer than 0.1° are merged.

Largest 6 diffraction maxima, in order of rising 2θ, 2θ = 10–80°:
| Position (°2θ) | I (rel.) | h k l |
| --- | --- | --- |
| 30.5 | 100 | 1 1 3 |
| 33.0 | 94 | 3 0 0 |
| 45.5 | 34 | 2 2 3 |
| 57.4 | 35 | 4 1 3 |
| 58.9 | 18 | 3 3 0 |
| 59.9 | 35 | 3 0 6 |

Structure:
```
data_TlHg8H6
_chemical_formula_sum 'Tl3 Hg24 H18'
_cell_length_a 9.4078
_cell_length_b 9.4078
_cell_length_c 11.2508
_cell_angle_alpha 90.00
_cell_angle_beta 90.00
_cell_angle_gamma 120.00
_symmetry_space_group_name_H-M 'R -3 m'
_symmetry_Int_Tables_number 166
_symmetry_space_group_name_Hall '-R 3 2"'
loop_
_atom_site_label
_atom_site_fract_x
_atom_site_fract_y
_atom_site_fract_z
_atom_site_occupancy
Tl1 0.0000 0.0000 0.0000 1
Hg1 0.0000 0.0000 0.3308 1
Hg2 0.0000 0.3324 0.5000 1
H1 0.0000 0.3222 0.0000 1
```